The following is a calculated powder diffraction line list of PrGa2CuPd2. It was derived from a structure optimized by DFT (PBE), using CuKα.
No peak broadening, texture or thermal motion is included.

Structural model:
Lattice parameters (Å, degrees): 4.5505 4.5505 5.6285 90.00 90.00 90.00
Space group P4/mmm (No. 123)
One atom of each set of equivalent atoms:
Pr: 0.0000 0.0000 0.0000 (multiplicity 1)
Ga: 0.0000 0.5000 0.5000 (multiplicity 2)
Cu: 0.0000 0.0000 0.5000 (multiplicity 1)
Pd: 0.5000 0.5000 0.2431 (multiplicity 2)

Most intense lines, 15 to 90 degrees two-theta, low angle first:
- 27.72°, d = 3.218 Å, I = 49, hkl 1 1 0
- 32.04°, d = 2.793 Å, I = 44, hkl 1 1 1
- 37.58°, d = 2.393 Å, I = 100, hkl 1 0 2
- 39.61°, d = 2.275 Å, I = 78, hkl 2 0 0
- 42.68°, d = 2.118 Å, I = 9, hkl 1 1 2
- 55.74°, d = 1.649 Å, I = 62, hkl 2 1 2
- 57.26°, d = 1.609 Å, I = 26, hkl 2 2 0
- 64.79°, d = 1.439 Å, I = 9, hkl 3 1 0
- 67.14°, d = 1.394 Å, I = 10, hkl 3 1 1
- 70.53°, d = 1.335 Å, I = 15, hkl 3 0 2
- 80.21°, d = 1.197 Å, I = 19, hkl 2 0 4
- 84.05°, d = 1.152 Å, I = 19, hkl 3 2 2

The following is a calculated powder diffraction line list of Pu2Ga5Cu2Pd. It was derived from a structure optimized by DFT (PBE), using CuKα.
No peak broadening, texture or thermal motion is included.

Structural model:
Lattice parameters (Å, degrees): 10.8258 10.8258 2.9984 90.00 90.00 90.00
Space group P4/mbm (No. 127)
One atom of each set of equivalent atoms:
Pu: 0.1744 0.3256 0.0000 (multiplicity 4)
Ga: 0.0000 0.5000 0.5000 (multiplicity 2)
Ga: 0.0567 0.8055 0.5000 (multiplicity 8)
Cu: 0.1321 0.6321 0.0000 (multiplicity 4)
Pd: 0.0000 0.0000 0.0000 (multiplicity 2)

Most intense lines, 15 to 90 degrees two-theta, low angle first:
- 18.32°, d = 4.841 Å, I = 33, hkl 2 1 0
- 26.03°, d = 3.423 Å, I = 25, hkl 3 1 0
- 34.15°, d = 2.625 Å, I = 92, hkl 4 1 0
- 35.19°, d = 2.550 Å, I = 83, hkl 3 3 0
- 37.14°, d = 2.421 Å, I = 16, hkl 4 2 0
- 38.13°, d = 2.360 Å, I = 24, hkl 2 2 1
- 39.97°, d = 2.256 Å, I = 100, hkl 3 1 1
- 42.61°, d = 2.122 Å, I = 20, hkl 3 2 1
- 50.59°, d = 1.804 Å, I = 18, hkl 6 0 0
- 62.47°, d = 1.487 Å, I = 18, hkl 7 2 0
- 70.08°, d = 1.343 Å, I = 15, hkl 7 4 0
- 72.62°, d = 1.302 Å, I = 18, hkl 4 1 2

The following is a calculated powder diffraction line list of ScGaCuPd. It was derived from a structure optimized by DFT (PBE), using CuKα.
No peak broadening, texture or thermal motion is included.

Structural model:
Lattice parameters (Å, degrees): 6.3197 6.3197 6.3197 90.00 90.00 90.00
Space group F-43m (No. 216)
One atom of each set of equivalent atoms:
Sc: 0.0000 0.0000 0.0000 (multiplicity 4)
Ga: 0.0000 0.0000 0.5000 (multiplicity 4)
Cu: 0.2500 0.2500 0.7500 (multiplicity 4)
Pd: 0.2500 0.2500 0.2500 (multiplicity 4)

Most intense lines, 15 to 90 degrees two-theta, low angle first:
- 24.40°, d = 3.649 Å, I = 7, hkl 1 1 1
- 28.24°, d = 3.160 Å, I = 5, hkl 2 0 0
- 40.37°, d = 2.234 Å, I = 100, hkl 2 2 0
- 47.73°, d = 1.905 Å, I = 4, hkl 3 1 1
- 49.99°, d = 1.824 Å, I = 1, hkl 2 2 2
- 58.41°, d = 1.580 Å, I = 16, hkl 4 0 0
- 64.24°, d = 1.450 Å, I = 2, hkl 3 3 1
- 66.12°, d = 1.413 Å, I = 2, hkl 4 2 0
- 73.40°, d = 1.290 Å, I = 31, hkl 4 2 2
- 78.67°, d = 1.216 Å, I = 1, hkl 5 1 1
- 87.27°, d = 1.117 Å, I = 10, hkl 4 4 0

The following is a calculated powder diffraction line list of TbGa2CuPd2. It was derived from a structure optimized by DFT (PBE), using CuKα.
No peak broadening, texture or thermal motion is included.

Structural model:
Lattice parameters (Å, degrees): 4.5128 4.5128 5.5491 90.00 90.00 90.00
Space group P4/mmm (No. 123)
One atom of each set of equivalent atoms:
Tb: 0.0000 0.0000 0.0000 (multiplicity 1)
Ga: 0.0000 0.5000 0.5000 (multiplicity 2)
Cu: 0.0000 0.0000 0.5000 (multiplicity 1)
Pd: 0.5000 0.5000 0.2416 (multiplicity 2)

Most intense lines, 15 to 90 degrees two-theta, low angle first:
- 25.44°, d = 3.501 Å, I = 8, hkl 1 0 1
- 27.96°, d = 3.191 Å, I = 51, hkl 1 1 0
- 32.35°, d = 2.767 Å, I = 53, hkl 1 1 1
- 38.07°, d = 2.364 Å, I = 100, hkl 1 0 2
- 39.96°, d = 2.256 Å, I = 78, hkl 2 0 0
- 56.37°, d = 1.632 Å, I = 63, hkl 2 1 2
- 57.79°, d = 1.596 Å, I = 26, hkl 2 2 0
- 65.40°, d = 1.427 Å, I = 9, hkl 3 1 0
- 67.80°, d = 1.382 Å, I = 14, hkl 3 1 1
- 71.32°, d = 1.322 Å, I = 15, hkl 3 0 2
- 81.44°, d = 1.182 Å, I = 18, hkl 2 0 4
- 85.02°, d = 1.141 Å, I = 19, hkl 3 2 2

Number 4 is which compound?
TbGa2CuPd2